Starting from DFT lattice parameters and positions (GGA+U), the powder X-ray diffraction pattern of VP2O7 was simulated for Cu Kα, 1.54184 Å.
Neutral-atom scattering factors, no anomalous dispersion.

Crystal structure
a b c (Å): 6.8571 8.1212 9.3791
angles (deg): 90.00 107.45 90.00
Element x y z (fractional)
V 0.2200 0.2300 0.0050
V 0.2200 0.2700 0.5050
V 0.7800 0.7300 0.4950
V 0.7800 0.7700 0.9950
P 0.0306 0.5846 0.2943
P 0.0306 0.9154 0.7943
P 0.4305 0.0304 0.7932
P 0.4305 0.4696 0.2932
P 0.5695 0.5304 0.7068
P 0.5695 0.9696 0.2068
P 0.9694 0.0846 0.2057
P 0.9694 0.4154 0.7057
O 0.0219 0.2241 0.1104
O 0.0219 0.2759 0.6104
O 0.0250 0.0837 0.8628
O 0.0250 0.4163 0.3628
O 0.1036 0.0948 0.3692
O 0.1036 0.4052 0.8692
O 0.2640 0.6121 0.2941
O 0.2640 0.8879 0.7941
O 0.3639 0.0533 0.1552
O 0.3639 0.4467 0.6552
O 0.3820 0.1015 0.6361
O 0.3820 0.3985 0.1361
O 0.4064 0.1674 0.9038
O 0.4064 0.3326 0.4038
O 0.5936 0.6674 0.5962
O 0.5936 0.8326 0.0962
O 0.6180 0.6015 0.8639
O 0.6180 0.8985 0.3639
O 0.6361 0.5533 0.3448
O 0.6361 0.9467 0.8448
O 0.7360 0.1121 0.2059
O 0.7360 0.3879 0.7059
O 0.8964 0.5948 0.1308
O 0.8964 0.9052 0.6308
O 0.9750 0.5837 0.6372
O 0.9750 0.9163 0.1372
O 0.9781 0.7241 0.3896
O 0.9781 0.7759 0.8896

The 10 most intense peaks (15 to 90 degrees two-theta), by intensity:
| 2theta | Rel. int. |
| --- | --- |
| 17.41 | 100 |
| 29.71 | 59 |
| 28.57 | 30 |
| 29.49 | 29 |
| 23.20 | 24 |
| 29.18 | 17 |
| 43.41 | 17 |
| 35.23 | 15 |
| 17.91 | 14 |
| 31.97 | 14 |